Record 1
Computed powder X-ray diffraction pattern
Compound: Pu2SnSe6
Radiation: a wavelength of 1.5418 Å
Structure: a crystal structure in Alexandria, relaxed with PBE

Largest 10 diffraction maxima, sorted by position, 10 to 80 degrees two-theta:
2θ (°)  d/Å  I/Imax
19.2  4.614  100
25.0  3.558  47
28.6  3.124  35
37.4  2.405  94
39.0  2.307  32
42.6  2.123  18
46.9  1.936  49
47.1  1.928  20
59.1  1.562  19
62.6  1.483  13

Crystal structure
```
Pu2SnSe6
1.0
6.526 0.000 0.000
0.000 6.526 0.000
0.000 0.000 12.735
Pu Sn Se
4 2 12
direct
0.000 0.000 0.166
0.000 0.000 0.834
0.500 0.500 0.334
0.500 0.500 0.666
0.000 0.000 0.500
0.500 0.500 0.000
0.195 0.195 0.335
0.195 0.195 0.665
0.196 0.196 0.000
0.304 0.696 0.500
0.305 0.695 0.165
0.305 0.695 0.835
0.695 0.305 0.165
0.695 0.305 0.835
0.696 0.304 0.500
0.804 0.804 0.000
0.805 0.805 0.335
0.805 0.805 0.665
```



Record 2
Computed powder X-ray diffraction pattern
Compound: Pu2Tl3SnSe6
Radiation: a wavelength of 1.5418 Å
Structure: a crystal structure in Alexandria, relaxed with PBE

Largest 10 diffraction maxima, sorted by position, 10 to 80 degrees two-theta:
2θ (°)  d/Å  I/Imax
23.3  3.812  12
25.3  3.519  26
28.7  3.106  100
39.8  2.267  12
39.9  2.259  25
42.3  2.135  37
52.0  1.758  13
59.5  1.553  11
65.7  1.421  10
69.1  1.359  11

Crystal structure
```
Pu2Tl3SnSe6
1.0
3.704 -6.397 0.000
3.704 6.397 0.000
-2.442 0.000 7.624
Pu Tl Sn Se
2 3 1 6
direct
0.167 0.833 0.000
0.833 0.167 0.000
0.000 0.000 0.500
0.337 0.663 0.500
0.663 0.337 0.500
0.500 0.500 0.000
0.082 0.431 0.793
0.218 0.218 0.202
0.431 0.082 0.793
0.569 0.918 0.207
0.782 0.782 0.798
0.918 0.569 0.207
```



Record 3
Computed powder X-ray diffraction pattern
Compound: PuTaSe4
Radiation: a wavelength of 1.5418 Å
Structure: a crystal structure in Alexandria, relaxed with PBE

Largest 10 diffraction maxima, sorted by position, 10 to 80 degrees two-theta:
2θ (°)  d/Å  I/Imax
16.4  5.408  42
22.4  3.961  98
24.1  3.689  85
33.8  2.651  84
35.1  2.555  100
35.6  2.520  89
40.6  2.221  74
43.5  2.082  83
55.1  1.666  61
57.4  1.605  50

Crystal structure
```
PuTaSe4
1.0
2.520 -8.738 0.000
2.520 8.738 0.000
0.000 0.000 6.884
Pu Ta Se
2 2 8
direct
0.169 0.831 0.500
0.831 0.169 0.000
0.403 0.597 0.620
0.597 0.403 0.120
0.095 0.905 0.116
0.278 0.722 0.821
0.334 0.666 0.296
0.461 0.539 0.973
0.539 0.461 0.473
0.666 0.334 0.796
0.722 0.278 0.321
0.905 0.095 0.616
```



Record 4
Computed powder X-ray diffraction pattern
Compound: Tb6PuSe8
Radiation: a wavelength of 1.5418 Å
Structure: a crystal structure in Alexandria, relaxed with PBE

Largest 10 diffraction maxima, sorted by position, 10 to 80 degrees two-theta:
2θ (°)  d/Å  I/Imax
13.3  6.676  13
25.6  3.486  11
26.7  3.338  17
30.9  2.891  100
33.8  2.653  7
44.3  2.044  74
52.5  1.743  9
55.0  1.669  26
64.5  1.445  12
73.2  1.293  33

Crystal structure
```
Tb6PuSe8
1.0
0.000 5.781 5.781
5.781 0.000 5.781
5.781 5.781 0.000
Tb Pu Se
6 1 8
direct
0.000 0.000 0.500
0.000 0.500 0.000
0.000 0.500 0.500
0.500 0.000 0.000
0.500 0.000 0.500
0.500 0.500 0.000
0.000 0.000 0.000
0.250 0.250 0.250
0.256 0.256 0.744
0.256 0.744 0.256
0.256 0.744 0.744
0.744 0.256 0.256
0.744 0.256 0.744
0.744 0.744 0.256
0.750 0.750 0.750
```